Structure and theoretical X-ray diffraction stick pattern of RbCoAs2O8 (DFT lattice parameters and positions (PBE+U); λ = 1.5418 Å (Cu Kα)).

Principal peaks in the range 2θ from 10° to 80°, low angle first:
2θ (°), I_rel
24.42, 100
28.57, 11
33.03, 22
36.51, 31
44.42, 16
50.05, 8
54.03, 11
58.80, 15
63.52, 7
65.72, 9

Crystal structure
Lattice parameters (Å, degrees): 4.9217 4.9217 28.1228 90.00 90.00 120.00
Space group R32 (No. 155, hexagonal axes)
Unique sites:
Rb (0.0000, 0.0000, 0.0000) x3
Co (0.0000, 0.0000, 0.5000) x3
As (0.0000, 0.0000, 0.2320) x6
O (0.0000, 0.0000, 0.2918) x6
O (0.0164, 0.3671, 0.1219) x18